Computed powder XRD pattern
Compound: YGeTe3Au
Radiation: λ = 1.5418 Å (Cu Kα)
Structure: a crystal structure in OQMD, relaxed with PBE
Peak positions follow from Bragg's law for the DFT cell and can differ from measured ones.

Main lines, in order of falling intensity (15 to 90 degrees two-theta):
d (Å), two_theta, Rel. int.
2.776, 32.3, 100
3.067, 29.1, 36
2.075, 43.6, 32
2.038, 44.4, 32
2.827, 31.7, 28
1.843, 49.5, 22

Structural model:
```
YGeTe3Au
1.0
2.074 -7.466 0.000
2.074 7.466 0.000
0.000 0.000 11.308
Y Ge Te Au
2 2 6 2
Direct
0.000 0.000 0.000
0.000 0.000 0.500
0.176 0.824 0.750
0.824 0.176 0.250
0.092 0.908 0.250
0.351 0.649 0.053
0.351 0.649 0.447
0.649 0.351 0.553
0.649 0.351 0.947
0.908 0.092 0.750
0.466 0.534 0.250
0.534 0.466 0.750
```

Computed powder XRD pattern
Compound: TmGeAu
Radiation: λ = 1.5418 Å (Cu Kα)
Structure: a crystal structure in OQMD, relaxed with PBE
Peak positions follow from Bragg's law for the DFT cell and can differ from measured ones.

Main lines, in order of falling intensity (15 to 90 degrees two-theta):
d (Å), two_theta, Rel. int.
2.696, 33.2, 100
2.471, 36.4, 61
2.332, 38.6, 46
1.545, 59.8, 26
1.339, 70.3, 24
2.064, 43.9, 24

Structural model:
```
TmGeAu
1.0
7.123 0.000 0.000
-3.561 6.169 0.000
0.000 0.000 4.128
Tm Ge Au
3 3 3
Direct
0.000 0.587 0.000
0.413 0.413 0.000
0.587 0.000 0.000
0.000 0.000 0.000
0.333 0.667 0.500
0.667 0.333 0.500
0.000 0.263 0.500
0.263 0.000 0.500
0.737 0.737 0.500
```